Diffraction record for Sm3AlSe6. The powder diffraction line list is computed, not measured: it uses the PBE geometry in Alexandria and Cu Kα.
Lines closer than 0.1° are merged.

Atomic structure:
```
data_Sm3AlSe6
_chemical_formula_sum 'Sm12 Al4 Se24'
_cell_length_a 11.394
_cell_length_b 14.160
_cell_length_c 6.870
_cell_angle_alpha 90.00
_cell_angle_beta 90.00
_cell_angle_gamma 90.00
_space_group_name_H-M_alt 'C m c 21'
_space_group_IT_number 36
loop_
_space_group_symop_operation_xyz
'x,y,z'
'-x,-y,z+1/2'
'-x,y,z'
'x,-y,z+1/2'
'x+1/2,y+1/2,z'
'-x+1/2,-y+1/2,z+1/2'
'-x+1/2,y+1/2,z'
'x+1/2,-y+1/2,z+1/2'
loop_
_atom_site_label
_atom_site_type_symbol
_atom_site_fract_x
_atom_site_fract_y
_atom_site_fract_z
Sm1 Sm 0.000 0.098 0.000
Sm2 Sm 0.183 0.401 0.098
Al1 Al 0.000 0.299 0.637
Se1 Se 0.000 0.282 0.289
Se2 Se 0.000 0.459 0.776
Se3 Se 0.162 0.032 0.298
Se4 Se 0.166 0.235 0.809
```

Principal peaks in the range 2θ = 5–70°, by angle:
| Position (°2θ) | I_rel | hkl |
| --- | --- | --- |
| 16.32 | 41 | 1 1 1 |
| 23.87 | 99 | 2 2 1 |
| 24.18 | 55 | 1 3 1 |
| 32.96 | 100 | 3 3 1 |
| 35.81 | 94 | 3 1 2 |
| 36.44 | 71 | 0 4 2 |
| 39.70 | 60 | 3 5 0 |
| 46.76 | 28 | 3 1 3 |
| 47.90 | 28 | 6 0 0 |
| 61.66 | 24 | 6 4 2 |